1.
# LiMg14SiO16
Computed powder X-ray diffraction pattern, Cu Kα. Input: the GGA-PBE geometry in the Materials Project.
Lines closer than 0.1° are merged.

Most intense lines, 2θ = 10–90°, most intense first:
Position (°2θ), I (rel.)
42.5, 100
61.7, 56
77.8, 17
36.6, 9
73.9, 4
74.0, 2
10.4, 2
14.7, 2
23.4, 2
25.6, 2
31.5, 2
62.8, 1

Crystal structure
```
LiMg14SiO16
1.0
4.2552 0.0000 0.0000
0.0000 8.4947 0.0000
0.0000 0.0000 8.5110
Li Mg Si O
1 14 1 16
direct
0.0000 0.0000 0.0000
0.0000 0.0000 0.5000
0.0000 0.2440 0.2493
0.0000 0.2440 0.7507
0.0000 0.5000 0.5000
0.0000 0.7560 0.2493
0.0000 0.7560 0.7507
0.5000 0.0000 0.2444
0.5000 0.0000 0.7556
0.5000 0.2414 0.0000
0.5000 0.2477 0.5000
0.5000 0.5000 0.2508
0.5000 0.5000 0.7492
0.5000 0.7523 0.5000
0.5000 0.7586 0.0000
0.0000 0.5000 0.0000
0.0000 0.0000 0.2551
0.0000 0.0000 0.7449
0.0000 0.2537 0.5000
0.0000 0.2739 0.0000
0.0000 0.5000 0.2419
0.0000 0.5000 0.7581
0.0000 0.7261 0.0000
0.0000 0.7463 0.5000
0.5000 0.0000 0.0000
0.5000 0.0000 0.5000
0.5000 0.2517 0.2489
0.5000 0.2517 0.7511
0.5000 0.5000 0.0000
0.5000 0.5000 0.5000
0.5000 0.7483 0.2489
0.5000 0.7483 0.7511
```

2.
# Li2MgSiO4
Computed powder X-ray diffraction pattern, Cu Kα. Input: the GGA-PBE geometry in the Materials Project.
Lines closer than 0.1° are merged.

Most intense lines, 2θ = 10–90°, most intense first:
Position (°2θ), I (rel.)
32.7, 100
21.6, 86
35.4, 85
22.3, 58
24.0, 54
33.2, 51
59.0, 50
58.0, 27
22.5, 24
70.8, 19
16.2, 18
33.7, 17

Crystal structure
```
Li2MgSiO4
1.0
5.0706 0.0000 0.0000
0.0000 10.8021 0.0000
-5.0209 0.0000 6.3589
Li Mg Si O
8 4 4 16
direct
0.0329 0.0739 0.2369
0.0329 0.4261 0.7369
0.1890 0.1621 0.9957
0.1890 0.3379 0.4957
0.8110 0.6621 0.5043
0.8110 0.8379 0.0043
0.9671 0.5739 0.2631
0.9671 0.9261 0.7631
0.3095 0.6645 0.0015
0.3095 0.8355 0.5015
0.6905 0.1645 0.4985
0.6905 0.3355 0.9985
0.4366 0.0874 0.7478
0.4366 0.4126 0.2478
0.5634 0.5874 0.7522
0.5634 0.9126 0.2522
0.1074 0.0911 0.7447
0.1074 0.4089 0.2447
0.2467 0.6614 0.5409
0.2467 0.8386 0.0409
0.3325 0.1594 0.5336
0.3325 0.3406 0.0336
0.4547 0.0569 0.2486
0.4547 0.4431 0.7486
0.5453 0.5569 0.2514
0.5453 0.9431 0.7514
0.6675 0.6594 0.9664
0.6675 0.8406 0.4664
0.7533 0.1614 0.9591
0.7533 0.3386 0.4591
0.8926 0.5911 0.7553
0.8926 0.9089 0.2553
```

3.
# LiMg14SiO16
Computed powder X-ray diffraction pattern, Cu Kα. Input: the GGA-PBE geometry in the Materials Project.
Lines closer than 0.1° are merged.

Most intense lines, 2θ = 10–90°, most intense first:
Position (°2θ), I (rel.)
42.5, 100
61.7, 55
77.8, 16
36.6, 8
73.9, 6
23.4, 3
10.4, 3
31.5, 3
62.7, 2
49.1, 1
70.9, 1

Crystal structure
```
LiMg14SiO16
1.0
8.5115 0.0000 0.0000
0.0000 8.5115 0.0000
0.0000 0.0000 4.2527
Li Mg Si O
1 14 1 16
direct
0.0000 0.0000 0.0000
0.0000 0.2422 0.5000
0.0000 0.5000 0.0000
0.0000 0.7578 0.5000
0.2422 0.0000 0.5000
0.2427 0.2427 0.0000
0.2427 0.7573 0.0000
0.2458 0.5000 0.5000
0.5000 0.0000 0.0000
0.5000 0.2458 0.5000
0.5000 0.7542 0.5000
0.7542 0.5000 0.5000
0.7573 0.2427 0.0000
0.7573 0.7573 0.0000
0.7578 0.0000 0.5000
0.5000 0.5000 0.0000
0.0000 0.0000 0.5000
0.0000 0.2601 0.0000
0.0000 0.5000 0.5000
0.0000 0.7399 0.0000
0.2516 0.2516 0.5000
0.2516 0.7484 0.5000
0.2601 0.0000 0.0000
0.2642 0.5000 0.0000
0.5000 0.0000 0.5000
0.5000 0.2642 0.0000
0.5000 0.5000 0.5000
0.5000 0.7358 0.0000
0.7358 0.5000 0.0000
0.7399 0.0000 0.0000
0.7484 0.2516 0.5000
0.7484 0.7484 0.5000
```